This entry pairs a crystal structure of BeBO3 with its computed PXRD pattern. Radiation: CuKα. Structure: DFT lattice parameters and positions (GGA-PBE).

```
data_BeBO3
_chemical_formula_sum 'Be1 B1 O3'
_cell_length_a 3.265
_cell_length_b 3.265
_cell_length_c 3.265
_cell_angle_alpha 90.00
_cell_angle_beta 90.00
_cell_angle_gamma 90.00
_symmetry_space_group_name_H-M 'P m -3 m'
_symmetry_Int_Tables_number 221
_symmetry_space_group_name_Hall '-P 4 2 3'
loop_
_atom_site_label
_atom_site_type_symbol
_atom_site_fract_x
_atom_site_fract_y
_atom_site_fract_z
Be1 Be 0.000 0.000 0.000
B1 B 0.500 0.500 0.500
O1 O 0.000 0.500 0.500
```

Peak list (5 most intense, 5° ≤ 2θ ≤ 70°, by angle)
| Position (°2θ) | intensity | h k l |
| --- | --- | --- |
| 27.32 | 77 | 1 0 0 |
| 39.02 | 1 | 1 1 0 |
| 48.28 | 100 | 1 1 1 |
| 56.36 | 72 | 2 0 0 |
| 63.74 | 13 | 2 1 0 |



This entry pairs a crystal structure of BeB4O8 with its computed PXRD pattern. Radiation: CuKα. Structure: DFT lattice parameters and positions (GGA-PBE).

```
data_BeB4O8
_chemical_formula_sum 'Be4 B16 O32'
_cell_length_a 7.342
_cell_length_b 4.344
_cell_length_c 19.295
_cell_angle_alpha 90.00
_cell_angle_beta 109.92
_cell_angle_gamma 90.00
_symmetry_space_group_name_H-M 'P 1 21/c 1'
_symmetry_Int_Tables_number 14
loop_
_symmetry_equiv_pos_as_xyz
'x,y,z'
'-x,-y,-z'
'-x,y+1/2,-z+1/2'
'x,-y+1/2,z+1/2'
loop_
_atom_site_label
_atom_site_type_symbol
_atom_site_fract_x
_atom_site_fract_y
_atom_site_fract_z
Be1 Be 0.122 0.098 0.259
B1 B 0.180 0.581 0.195
B2 B 0.265 0.630 0.526
B3 B 0.284 0.084 0.148
B4 B 0.449 0.217 0.872
O1 O 0.067 0.055 0.730
O2 O 0.164 0.677 0.452
O3 O 0.180 0.012 0.070
O4 O 0.190 0.595 0.696
O5 O 0.279 0.088 0.660
O6 O 0.297 0.103 0.336
O7 O 0.455 0.738 0.552
O8 O 0.490 0.508 0.669
```

Peak list (10 most intense, 5° ≤ 2θ ≤ 70°, by angle)
| Position (°2θ) | intensity | h k l |
| --- | --- | --- |
| 9.75 | 100 | 0 0 2 |
| 13.21 | 24 | 1 0 -2 |
| 18.62 | 92 | 1 0 2 |
| 21.03 | 46 | 0 1 1 |
| 24.42 | 78 | 1 1 -2 |
| 25.98 | 34 | 1 1 -3 |
| 26.95 | 46 | 1 0 4 |
| 28.34 | 62 | 1 1 -4 |
| 33.78 | 24 | 2 1 -4 |
| 36.27 | 23 | 1 0 6 |



This entry pairs a crystal structure of Be2BO4 with its computed PXRD pattern. Radiation: CuKα. Structure: DFT lattice parameters and positions (GGA-PBE).

```
data_Be2BO4
_chemical_formula_sum 'Be16 B8 O32'
_cell_length_a 4.471
_cell_length_b 9.594
_cell_length_c 12.711
_cell_angle_alpha 90.00
_cell_angle_beta 90.00
_cell_angle_gamma 90.00
_symmetry_space_group_name_H-M 'P b c a'
_symmetry_Int_Tables_number 61
loop_
_symmetry_equiv_pos_as_xyz
'x,y,z'
'-x,-y,-z'
'-x+1/2,-y,z+1/2'
'x+1/2,y,-z+1/2'
'x+1/2,-y+1/2,-z'
'-x+1/2,y+1/2,z'
'-x,y+1/2,-z+1/2'
'x,-y+1/2,z+1/2'
loop_
_atom_site_label
_atom_site_type_symbol
_atom_site_fract_x
_atom_site_fract_y
_atom_site_fract_z
Be1 Be 0.214 0.240 0.066
Be2 Be 0.229 0.007 0.193
B1 B 0.219 0.114 0.387
O1 O 0.089 0.609 0.110
O2 O 0.129 0.540 0.311
O3 O 0.129 0.694 0.460
O4 O 0.195 0.151 0.662
```

Peak list (10 most intense, 5° ≤ 2θ ≤ 70°, by angle)
| Position (°2θ) | intensity | h k l |
| --- | --- | --- |
| 19.78 | 36 | 0 2 1 |
| 23.23 | 94 | 0 2 2 |
| 28.12 | 100 | 0 2 3 |
| 34.64 | 19 | 1 2 3 |
| 38.18 | 15 | 0 4 1 |
| 40.70 | 26 | 1 3 3 |
| 41.95 | 20 | 1 1 5 |
| 42.11 | 26 | 2 1 1 |
| 47.49 | 15 | 0 4 4 |
| 52.42 | 19 | 0 4 5 |



This entry pairs a crystal structure of Be2BO5 with its computed PXRD pattern. Radiation: CuKα. Structure: DFT lattice parameters and positions (GGA-PBE).

```
data_Be2BO5
_chemical_formula_sum 'Be4 B2 O10'
_cell_length_a 7.808
_cell_length_b 4.433
_cell_length_c 4.885
_cell_angle_alpha 90.00
_cell_angle_beta 94.74
_cell_angle_gamma 90.00
_symmetry_space_group_name_H-M 'C 1 2 1'
_symmetry_Int_Tables_number 5
loop_
_symmetry_equiv_pos_as_xyz
'x,y,z'
'-x,y,-z'
'x+1/2,y+1/2,z'
'-x+1/2,y+1/2,-z'
loop_
_atom_site_label
_atom_site_type_symbol
_atom_site_fract_x
_atom_site_fract_y
_atom_site_fract_z
Be1 Be 0.173 0.000 0.100
B1 B 0.000 0.501 0.000
O1 O 0.000 0.812 0.000
O2 O 0.153 0.347 0.996
O3 O 0.192 0.990 0.441
```

Peak list (10 most intense, 5° ≤ 2θ ≤ 70°, by angle)
| Position (°2θ) | intensity | h k l |
| --- | --- | --- |
| 18.22 | 100 | 0 0 1 |
| 22.86 | 12 | 2 0 0 |
| 28.15 | 40 | 2 0 -1 |
| 30.17 | 46 | 1 1 1 |
| 36.93 | 63 | 0 0 2 |
| 40.29 | 28 | 3 1 0 |
| 40.71 | 19 | 0 2 0 |
| 43.26 | 26 | 3 1 -1 |
| 44.93 | 24 | 0 2 1 |
| 45.80 | 28 | 3 1 1 |